Ni3Hg3PdO8: theoretical powder diffractogram (Cu Ka), based on the GGA+U geometry in Alexandria.
Neutral-atom scattering factors, no anomalous dispersion.

Largest 10 diffraction maxima, sorted by position, 5 to 70 degrees two-theta:
2theta, intensity, h k l
16.3, 21, 2 0 -1
18.1, 46, 1 1 0
30.4, 53, 0 0 2
33.0, 45, 4 0 -2
36.5, 64, 2 2 0
36.7, 100, 2 2 -2
45.1, 32, 4 0 0
57.9, 24, 2 2 2
58.3, 22, 2 2 -4
61.6, 21, 6 2 -4

```
data_Ni3Hg3PdO8
_chemical_formula_sum 'Ni6 Hg6 Pd2 O16'
_cell_length_a 10.8482
_cell_length_b 6.2259
_cell_length_c 7.9455
_cell_angle_alpha 90.00
_cell_angle_beta 132.22
_cell_angle_gamma 90.00
_symmetry_space_group_name_H-M 'C 1 2/m 1'
_symmetry_Int_Tables_number 12
loop_
_symmetry_equiv_pos_as_xyz
'x,y,z'
'-x,-y,-z'
'-x,y,-z'
'x,-y,z'
'x+1/2,y+1/2,z'
'-x+1/2,-y+1/2,-z'
'-x+1/2,y+1/2,-z'
'x+1/2,-y+1/2,z'
loop_
_atom_site_label
_atom_site_type_symbol
_atom_site_fract_x
_atom_site_fract_y
_atom_site_fract_z
Ni1 Ni 0.0000 0.0000 0.0000
Ni2 Ni 0.2500 0.2500 0.0000
Hg1 Hg 0.0000 0.5000 0.5000
Hg2 Hg 0.2500 0.2500 0.5000
Pd1 Pd 0.0000 0.5000 0.0000
O1 O 0.0107 0.2546 0.1782
O2 O 0.2391 0.5000 0.8167
O3 O 0.2486 0.5000 0.1788
```